Record 1
The following is a calculated powder X-ray diffraction pattern of La2Pm4Ho3. It was derived from the PBE geometry in Alexandria, using Cu Kα (λ = 1.5418 Å).
Lines closer than 0.1° are merged.

Peak list (8 most intense, 10 to 90 degrees two-theta, low angle first)
2θ (°)  I (rel.)  (hkl)
28.30  34  1 0 0
30.68  25  0 0 14
31.24  25  0 1 6
32.26  100  0 1 7
50.07  27  1 1 0
55.55  20  0 1 21
59.86  24  1 1 14
60.81  16  2 0 7

Structure:
```
data_La2Pm4Ho3
_space_group_name_H-M_alt 'P 3 m 1'
_space_group_IT_number 156
_cell_length_a 3.6445
_cell_length_b 3.6445
_cell_length_c 40.7913
_cell_angle_alpha 90.00
_cell_angle_beta 90.00
_cell_angle_gamma 120.00
loop_
_space_group_symop_operation_xyz
'x,y,z'
'-y,x-y,z'
'-x+y,-x,z'
'-y,-x,z'
'-x+y,y,z'
'x,x-y,z'
loop_
_atom_site_label
_atom_site_type_symbol
_atom_site_fract_x
_atom_site_fract_y
_atom_site_fract_z
La1 La 0.0000 0.0000 0.0000
La2 La 0.0000 0.0000 0.1414
Pm1 Pm 0.0000 0.0000 0.5709
Pm2 Pm 0.0000 0.0000 0.7103
Pm3 Pm 0.3333 0.6667 0.7835
Pm4 Pm 0.3333 0.6667 0.9241
Ho1 Ho 0.0000 0.0000 0.8542
Ho2 Ho 0.3333 0.6667 0.0725
Ho3 Ho 0.3333 0.6667 0.6390
```

=====

Record 2
The following is a calculated powder X-ray diffraction pattern of Y12TlNi5. It was derived from the PBE geometry in Alexandria, using Cu Kα (λ = 1.5418 Å).
Lines closer than 0.1° are merged.

Peak list (8 most intense, 10 to 90 degrees two-theta, low angle first)
2θ (°)  I (rel.)  (hkl)
29.90  30  3 1 0
32.12  100  2 2 2
34.39  70  2 1 3
34.63  74  1 3 2
35.29  39  3 2 1
38.17  26  4 0 0
56.08  25  3 5 0
59.86  32  5 3 2

Structure:
```
data_Y12TlNi5
_space_group_name_H-M_alt 'I m m m'
_space_group_IT_number 71
_space_group_name_Hall '-I 2 2'
_cell_length_a 9.431
_cell_length_b 9.618
_cell_length_c 9.933
_cell_angle_alpha 90.00
_cell_angle_beta 90.00
_cell_angle_gamma 90.00
loop_
_atom_site_label
_atom_site_type_symbol
_atom_site_fract_x
_atom_site_fract_y
_atom_site_fract_z
Y1 Y 0.000 0.191 0.213
Y2 Y 0.195 0.500 0.178
Y3 Y 0.207 0.318 0.500
Tl1 Tl 0.000 0.000 0.500
Ni1 Ni 0.000 0.000 0.000
Ni2 Ni 0.000 0.365 0.000
Ni3 Ni 0.000 0.500 0.378
```

=====

Record 3
The following is a calculated powder X-ray diffraction pattern of Cs3CeCl7. It was derived from the PBE geometry in Alexandria, using Cu Kα (λ = 1.5418 Å).
Lines closer than 0.1° are merged.

Peak list (8 most intense, 10 to 90 degrees two-theta, low angle first)
2θ (°)  I (rel.)  (hkl)
19.35  49  2 0 0
20.51  47  2 0 -2
20.86  100  0 2 1
22.30  42  2 2 -1
30.50  33  4 0 -2
33.83  40  2 2 1
36.58  25  4 2 -1
37.89  25  4 2 -3

Structure:
```
data_Cs3CeCl7
_space_group_name_H-M_alt 'C 1 m 1'
_space_group_IT_number 8
_cell_length_a 11.745
_cell_length_b 10.876
_cell_length_c 8.763
_cell_angle_alpha 90.00
_cell_angle_beta 128.64
_cell_angle_gamma 90.00
loop_
_space_group_symop_operation_xyz
'x,y,z'
'x,-y,z'
'x+1/2,y+1/2,z'
'x+1/2,-y+1/2,z'
loop_
_atom_site_label
_atom_site_type_symbol
_atom_site_fract_x
_atom_site_fract_y
_atom_site_fract_z
Cs1 Cs 0.000 0.000 0.000
Cs2 Cs 0.491 0.229 0.428
Ce1 Ce 0.447 0.000 0.878
Cl1 Cl 0.125 0.500 0.782
Cl2 Cl 0.132 0.345 0.180
Cl3 Cl 0.163 0.000 0.508
Cl4 Cl 0.301 0.000 0.022
Cl5 Cl 0.381 0.233 0.722
```

=====

Record 4
The following is a calculated powder X-ray diffraction pattern of Ac3Mg2Ga4Pd2. It was derived from the PBE geometry in Alexandria, using Cu Kα (λ = 1.5418 Å).
Lines closer than 0.1° are merged.

Peak list (8 most intense, 10 to 90 degrees two-theta, low angle first)
2θ (°)  I (rel.)  (hkl)
22.67  20  1 0 0
25.19  12  0 1 2
28.05  30  0 1 3
31.66  100  0 1 4
39.80  50  1 1 0
51.72  26  2 0 4
61.18  21  1 1 8
67.19  23  1 2 4

Structure:
```
data_Ac3Mg2Ga4Pd2
_space_group_name_H-M_alt 'P -3 m 1'
_space_group_IT_number 164
_space_group_name_Hall '-P 3 2"'
_cell_length_a 4.5295
_cell_length_b 4.5295
_cell_length_c 16.3055
_cell_angle_alpha 90.00
_cell_angle_beta 90.00
_cell_angle_gamma 120.00
loop_
_atom_site_label
_atom_site_type_symbol
_atom_site_fract_x
_atom_site_fract_y
_atom_site_fract_z
Ac1 Ac 0.0000 0.0000 0.0000
Ac2 Ac 0.0000 0.0000 0.2598
Mg1 Mg 0.3333 0.6667 0.5582
Ga1 Ga 0.3333 0.6667 0.3831
Ga2 Ga 0.3333 0.6667 0.8699
Pd1 Pd 0.3333 0.6667 0.1316
```